The following is a computed X-ray diffraction stick pattern of SrFeAgTe3. It was derived from the PBE geometry in OQMD, using Cu Kα (λ = 1.5418 Å).

Largest 10 diffraction maxima, most intense first, 2θ = 10–90°:
d [Å]	2θ/deg	I/Imax
2.830	31.61	100
2.609	34.37	50
2.150	42.03	48
2.883	31.02	46
3.203	27.86	46
3.162	28.22	39
6.920	12.79	34
2.681	33.42	32
2.051	44.15	32
2.562	35.02	28

Crystal structure
abc: 7.827 4.300 9.963
angles: 90.00 106.14 90.00
Positions (direct):
Sr (0.226, 0.250, 0.275)
Sr (0.774, 0.750, 0.725)
Fe (0.315, 0.750, 0.836)
Fe (0.685, 0.250, 0.164)
Ag (0.081, 0.250, 0.598)
Ag (0.919, 0.750, 0.402)
Te (0.108, 0.250, 0.884)
Te (0.299, 0.750, 0.553)
Te (0.446, 0.750, 0.126)
Te (0.554, 0.250, 0.874)
Te (0.701, 0.250, 0.447)
Te (0.892, 0.750, 0.116)